1.
# K4MgRu2Cl10O2
Simulated XRD peak list, Cu Kα (weighted mean of Kα1 and Kα2). Input: a PBE-relaxed structure.

Principal peaks in the range 10 to 80 degrees two-theta, in order of rising 2θ:
- d 6.686, 2θ 13.24, intensity 100
- d 3.338, 2θ 26.71, intensity 45
- d 3.174, 2θ 28.12, intensity 39
- d 2.794, 2θ 32.03, intensity 45
- d 2.555, 2θ 35.13, intensity 95
- d 1.806, 2θ 50.54, intensity 36

a b c (Å): 7.226 7.226 10.188
angles (deg): 110.75 110.75 89.99
Sites, in units of the cell vectors:
K: 0.249 0.751 0.000
K: 0.489 0.987 0.475
K: 0.751 0.249 0.000
K: 0.987 0.489 0.475
Mg: 0.109 0.109 0.712
Ru: 0.391 0.391 0.282
Ru: 0.599 0.599 0.698
Cl: 0.147 0.147 0.257
Cl: 0.147 0.609 0.256
Cl: 0.243 0.243 0.987
Cl: 0.369 0.842 0.712
Cl: 0.370 0.370 0.712
Cl: 0.608 0.608 0.255
Cl: 0.609 0.147 0.256
Cl: 0.732 0.732 0.964
Cl: 0.842 0.369 0.712
Cl: 0.842 0.842 0.711
O: 0.494 0.494 0.487
O: 0.998 0.998 0.500


2.
# Hf4Cr
Simulated XRD peak list, Cu Kα (weighted mean of Kα1 and Kα2). Input: a PBE-relaxed structure.

Principal peaks in the range 10 to 80 degrees two-theta, in order of rising 2θ:
- d 2.787, 2θ 32.12, intensity 100
- d 2.413, 2θ 37.26, intensity 40
- d 2.215, 2θ 40.74, intensity 15
- d 1.858, 2θ 49.04, intensity 21
- d 1.706, 2θ 53.71, intensity 34
- d 1.455, 2θ 63.98, intensity 29

a b c (Å): 6.826 6.826 6.826
angles (deg): 60.00 60.00 60.00
Sites, in units of the cell vectors:
Hf: 0.200 0.767 0.767
Hf: 0.233 0.233 0.233
Hf: 0.233 0.233 0.800
Hf: 0.233 0.800 0.233
Hf: 0.767 0.200 0.767
Hf: 0.767 0.767 0.200
Hf: 0.767 0.767 0.767
Hf: 0.800 0.233 0.233
Cr: 0.375 0.375 0.375
Cr: 0.625 0.625 0.625


3.
# CeCo2As2
Simulated XRD peak list, Cu Kα (weighted mean of Kα1 and Kα2). Input: a PBE-relaxed structure.

Principal peaks in the range 10 to 80 degrees two-theta, in order of rising 2θ:
- d 2.855, 2θ 31.33, intensity 26
- d 2.598, 2θ 34.53, intensity 100
- d 2.490, 2θ 36.07, intensity 77
- d 2.019, 2θ 44.90, intensity 59
- d 1.818, 2θ 50.18, intensity 23
- d 1.594, 2θ 57.85, intensity 45

a b c (Å): 5.836 5.836 5.836
angles (deg): 139.53 139.53 58.57
Sites, in units of the cell vectors:
Ce: 0.000 0.000 0.000
Co: 0.250 0.750 0.500
Co: 0.750 0.250 0.500
As: 0.366 0.366 0.000
As: 0.634 0.634 0.000


4.
# NaMnCl3
Simulated XRD peak list, Cu Kα (weighted mean of Kα1 and Kα2). Input: a PBE-relaxed structure.

Principal peaks in the range 10 to 80 degrees two-theta, in order of rising 2θ:
- d 6.286, 2θ 14.09, intensity 30
- d 4.912, 2θ 18.06, intensity 38
- d 3.647, 2θ 24.41, intensity 25
- d 2.937, 2θ 30.43, intensity 100
- d 2.283, 2θ 39.46, intensity 87
- d 1.918, 2θ 47.39, intensity 45

a b c (Å): 7.364 7.364 7.364
angles (deg): 53.64 53.64 53.64
Sites, in units of the cell vectors:
Na: 0.145 0.145 0.145
Na: 0.855 0.855 0.855
Mn: 0.340 0.340 0.340
Mn: 0.660 0.660 0.660
Cl: 0.066 0.712 0.452
Cl: 0.288 0.548 0.934
Cl: 0.452 0.066 0.712
Cl: 0.548 0.934 0.288
Cl: 0.712 0.452 0.066
Cl: 0.934 0.288 0.548


5.
# SrCdP2O7
Simulated XRD peak list, Cu Kα (weighted mean of Kα1 and Kα2). Input: a PBE-relaxed structure.

Principal peaks in the range 10 to 80 degrees two-theta, in order of rising 2θ:
- d 7.241, 2θ 12.22, intensity 42
- d 3.433, 2θ 25.96, intensity 100
- d 3.407, 2θ 26.15, intensity 66
- d 3.187, 2θ 28.00, intensity 34
- d 3.082, 2θ 28.97, intensity 43
- d 2.823, 2θ 31.69, intensity 33

a b c (Å): 5.508 8.672 14.248
angles (deg): 90.00 112.57 90.00
Sites, in units of the cell vectors:
Sr: 0.013 0.176 0.230
Sr: 0.013 0.324 0.730
Sr: 0.987 0.676 0.270
Sr: 0.987 0.824 0.770
Cd: 0.280 0.645 0.594
Cd: 0.280 0.855 0.094
Cd: 0.720 0.145 0.906
Cd: 0.720 0.355 0.406
P: 0.324 0.216 0.027
P: 0.324 0.284 0.527
P: 0.433 0.031 0.675
P: 0.433 0.469 0.175
P: 0.567 0.531 0.825
P: 0.567 0.969 0.325
P: 0.676 0.716 0.473
P: 0.676 0.784 0.973
O: 0.132 0.213 0.915
O: 0.132 0.287 0.415
O: 0.220 0.116 0.093
O: 0.220 0.384 0.593
O: 0.227 0.053 0.721
O: 0.227 0.447 0.221
O: 0.304 0.612 0.763
O: 0.304 0.888 0.263
O: 0.318 0.107 0.562
O: 0.318 0.393 0.062
O: 0.391 0.674 0.456
O: 0.391 0.826 0.956
O: 0.490 0.637 0.159
O: 0.490 0.863 0.659
O: 0.510 0.137 0.341
O: 0.510 0.363 0.841
O: 0.609 0.174 0.044
O: 0.609 0.326 0.544
O: 0.682 0.607 0.938
O: 0.682 0.893 0.438
O: 0.696 0.112 0.737
O: 0.696 0.388 0.237
O: 0.773 0.553 0.779
O: 0.773 0.947 0.279
O: 0.780 0.616 0.407
O: 0.780 0.884 0.907
O: 0.868 0.713 0.585
O: 0.868 0.787 0.085


6.
# CsCrCl3
Simulated XRD peak list, Cu Kα (weighted mean of Kα1 and Kα2). Input: a PBE-relaxed structure.

Principal peaks in the range 10 to 80 degrees two-theta, in order of rising 2θ:
- d 4.445, 2θ 19.98, intensity 53
- d 3.698, 2θ 24.07, intensity 53
- d 2.843, 2θ 31.47, intensity 100
- d 2.222, 2θ 40.60, intensity 34
- d 1.849, 2θ 49.29, intensity 25
- d 1.731, 2θ 52.89, intensity 21

a b c (Å): 7.395 7.395 6.173
angles (deg): 90.00 90.00 120.00
Sites, in units of the cell vectors:
Cs: 0.333 0.667 0.250
Cs: 0.667 0.333 0.750
Cr: 0.000 0.000 0.000
Cr: 0.000 0.000 0.500
Cl: 0.154 0.309 0.750
Cl: 0.154 0.846 0.750
Cl: 0.309 0.154 0.250
Cl: 0.691 0.846 0.750
Cl: 0.846 0.154 0.250
Cl: 0.846 0.691 0.250


7.
# ZnIn2Cu2S5
Simulated XRD peak list, Cu Kα (weighted mean of Kα1 and Kα2). Input: a PBE-relaxed structure.

Principal peaks in the range 10 to 80 degrees two-theta, in order of rising 2θ:
- d 3.210, 2θ 27.79, intensity 100
- d 2.786, 2θ 32.13, intensity 12
- d 1.970, 2θ 46.08, intensity 19
- d 1.964, 2θ 46.23, intensity 38
- d 1.679, 2θ 54.67, intensity 28
- d 1.671, 2θ 54.93, intensity 13

a b c (Å): 10.415 10.415 5.537
angles (deg): 105.37 105.37 21.81
Sites, in units of the cell vectors:
Zn: 0.000 0.000 0.000
In: 0.192 0.192 0.193
In: 0.396 0.396 0.404
Cu: 0.595 0.595 0.587
Cu: 0.794 0.794 0.792
S: 0.091 0.091 0.361
S: 0.295 0.295 0.570
S: 0.502 0.502 0.758
S: 0.695 0.695 0.915
S: 0.894 0.894 0.118


8.
# Cr6Si7Ni16
Simulated XRD peak list, Cu Kα (weighted mean of Kα1 and Kα2). Input: a PBE-relaxed structure.

Principal peaks in the range 10 to 80 degrees two-theta, in order of rising 2θ:
- d 2.763, 2θ 32.40, intensity 19
- d 2.256, 2θ 39.96, intensity 19
- d 2.127, 2θ 42.50, intensity 100
- d 1.954, 2θ 46.48, intensity 89
- d 1.868, 2θ 48.74, intensity 32
- d 1.303, 2θ 72.58, intensity 19

a b c (Å): 7.815 7.815 7.815
angles (deg): 60.00 60.00 60.00
Sites, in units of the cell vectors:
Cr: 0.188 0.188 0.812
Cr: 0.188 0.812 0.188
Cr: 0.188 0.812 0.812
Cr: 0.812 0.188 0.188
Cr: 0.812 0.188 0.812
Cr: 0.812 0.812 0.188
Si: 0.000 0.000 0.500
Si: 0.000 0.500 0.000
Si: 0.000 0.500 0.500
Si: 0.500 0.000 0.000
Si: 0.500 0.000 0.500
Si: 0.500 0.500 0.000
Si: 0.500 0.500 0.500
Ni: 0.147 0.618 0.618
Ni: 0.166 0.166 0.166
Ni: 0.166 0.166 0.503
Ni: 0.166 0.503 0.166
Ni: 0.382 0.382 0.382
Ni: 0.382 0.382 0.853
Ni: 0.382 0.853 0.382
Ni: 0.497 0.834 0.834
Ni: 0.503 0.166 0.166
Ni: 0.618 0.147 0.618
Ni: 0.618 0.618 0.147
Ni: 0.618 0.618 0.618
Ni: 0.834 0.497 0.834
Ni: 0.834 0.834 0.497
Ni: 0.834 0.834 0.834
Ni: 0.853 0.382 0.382


9.
# SmOs2
Simulated XRD peak list, Cu Kα (weighted mean of Kα1 and Kα2). Input: a PBE-relaxed structure.

Principal peaks in the range 10 to 80 degrees two-theta, in order of rising 2θ:
- d 2.524, 2θ 35.58, intensity 66
- d 2.301, 2θ 39.16, intensity 100
- d 2.243, 2θ 40.20, intensity 95
- d 2.060, 2θ 43.94, intensity 28
- d 1.424, 2θ 65.56, intensity 34
- d 1.337, 2θ 70.42, intensity 29

a b c (Å): 5.348 5.348 9.028
angles (deg): 90.00 90.00 120.00
Sites, in units of the cell vectors:
Sm: 0.333 0.667 0.064
Sm: 0.333 0.667 0.436
Sm: 0.667 0.333 0.564
Sm: 0.667 0.333 0.936
Os: 0.000 0.000 0.000
Os: 0.000 0.000 0.500
Os: 0.171 0.342 0.750
Os: 0.171 0.829 0.750
Os: 0.342 0.171 0.250
Os: 0.658 0.829 0.750
Os: 0.829 0.171 0.250
Os: 0.829 0.658 0.250


Copy entry 1 word for word.
# K4MgRu2Cl10O2
Simulated XRD peak list, Cu Kα (weighted mean of Kα1 and Kα2). Input: a PBE-relaxed structure.

Principal peaks in the range 10 to 80 degrees two-theta, in order of rising 2θ:
- d 6.686, 2θ 13.24, intensity 100
- d 3.338, 2θ 26.71, intensity 45
- d 3.174, 2θ 28.12, intensity 39
- d 2.794, 2θ 32.03, intensity 45
- d 2.555, 2θ 35.13, intensity 95
- d 1.806, 2θ 50.54, intensity 36

a b c (Å): 7.226 7.226 10.188
angles (deg): 110.75 110.75 89.99
Sites, in units of the cell vectors:
K: 0.249 0.751 0.000
K: 0.489 0.987 0.475
K: 0.751 0.249 0.000
K: 0.987 0.489 0.475
Mg: 0.109 0.109 0.712
Ru: 0.391 0.391 0.282
Ru: 0.599 0.599 0.698
Cl: 0.147 0.147 0.257
Cl: 0.147 0.609 0.256
Cl: 0.243 0.243 0.987
Cl: 0.369 0.842 0.712
Cl: 0.370 0.370 0.712
Cl: 0.608 0.608 0.255
Cl: 0.609 0.147 0.256
Cl: 0.732 0.732 0.964
Cl: 0.842 0.369 0.712
Cl: 0.842 0.842 0.711
O: 0.494 0.494 0.487
O: 0.998 0.998 0.500